Diffraction record for CaS3O10. The PXRD pattern is theoretical, not measured: it uses a GGA-PBE-relaxed structure and Cu Kα, 1.54184 Å.
Lines closer than 0.1° are merged.

Top 10 peaks for 2θ from 10° to 90°, in order of falling intensity:
2θ (°), I_rel, hkl
21.1, 100, 0 2 1
20.7, 71, 2 0 -2
22.6, 67, 1 1 -3
27.7, 62, 1 0 2
24.7, 45, 2 1 -3
26.0, 44, 0 2 2
24.2, 43, 2 1 -1
28.4, 36, 2 1 0
29.2, 29, 2 1 -4
30.0, 22, 2 2 -3

Cell and atoms:
Cell: 8.5775 9.2075 13.1851 Å, 90.00 128.72 90.00°
Element x y z (fractional)
Ca  0.2230  0.2260  0.0209
Ca  0.2230  0.2740  0.5209
Ca  0.7770  0.7260  0.4791
Ca  0.7770  0.7740  0.9791
S  0.0536  0.0785  0.2094
S  0.0536  0.4215  0.7094
S  0.2977  0.6115  0.1399
S  0.2977  0.8885  0.6399
S  0.3553  0.6707  0.5016
S  0.3553  0.8293  0.0016
S  0.6447  0.1707  0.9984
S  0.6447  0.3293  0.4984
S  0.7023  0.1115  0.3601
S  0.7023  0.3885  0.8601
S  0.9464  0.5785  0.2906
S  0.9464  0.9215  0.7906
O  0.0026  0.0713  0.8321
O  0.0026  0.4287  0.3321
O  0.0987  0.6620  0.0816
O  0.0987  0.8380  0.5816
O  0.1217  0.1582  0.1490
O  0.1217  0.3418  0.6490
O  0.1582  0.1061  0.3454
O  0.1582  0.3939  0.8454
O  0.1765  0.6606  0.3514
O  0.1765  0.8394  0.8514
O  0.3179  0.0430  0.6316
O  0.3179  0.4570  0.1316
O  0.3280  0.5700  0.5723
O  0.3280  0.9300  0.0723
O  0.3404  0.6665  0.0328
O  0.3404  0.8335  0.5328
O  0.4557  0.6797  0.2614
O  0.4557  0.8203  0.7614
O  0.4659  0.1649  0.9859
O  0.4659  0.3351  0.4859
O  0.5341  0.6649  0.5141
O  0.5341  0.8351  0.0141
O  0.5443  0.1797  0.2386
O  0.5443  0.3203  0.7386
O  0.6596  0.1665  0.4672
O  0.6596  0.3335  0.9672
O  0.6720  0.0700  0.9277
O  0.6720  0.4300  0.4277
O  0.6821  0.5430  0.8684
O  0.6821  0.9570  0.3684
O  0.8235  0.1606  0.1486
O  0.8235  0.3394  0.6486
O  0.8418  0.6061  0.1546
O  0.8418  0.8939  0.6546
O  0.8783  0.6582  0.3510
O  0.8783  0.8418  0.8510
O  0.9013  0.1620  0.4184
O  0.9013  0.3380  0.9184
O  0.9974  0.5713  0.6679
O  0.9974  0.9287  0.1679